Entry 1:
Computed XRD peak list
Compound: GeTeBr2
Radiation: a wavelength of 1.5418 Å
Structure: a crystal structure in Alexandria, relaxed with PBE
No peak broadening, texture or thermal motion is included.

Largest 8 diffraction maxima, low angle first, 10° ≤ 2θ ≤ 90°:
two_theta, I (rel.), (hkl)
10.1, 39, 0 0 2
14.1, 20, 1 0 0
15.2, 14, 0 1 1
24.8, 100, 1 1 -4
39.6, 20, 2 2 -2
40.9, 18, 2 0 -8
42.4, 14, 0 2 6
45.8, 16, 3 1 -6

```
data_GeTeBr2
_chemical_formula_sum 'Ge4 Te4 Br8'
_cell_length_a 6.706
_cell_length_b 6.198
_cell_length_c 18.814
_cell_angle_alpha 90.00
_cell_angle_beta 110.75
_cell_angle_gamma 90.00
_symmetry_space_group_name_H-M 'P 1 21/c 1'
_symmetry_Int_Tables_number 14
loop_
_symmetry_equiv_pos_as_xyz
'x,y,z'
'-x,-y,-z'
'-x,y+1/2,-z+1/2'
'x,-y+1/2,z+1/2'
loop_
_atom_site_label
_atom_site_type_symbol
_atom_site_fract_x
_atom_site_fract_y
_atom_site_fract_z
_atom_site_occupancy
Ge1 Ge 0.071 0.000 0.322 1
Te1 Te 0.248 0.250 0.250 1
Br1 Br 0.073 0.692 0.101 1
Br2 Br 0.369 0.692 0.900 1
```

Entry 2:
Computed XRD peak list
Compound: GeTeBr
Radiation: a wavelength of 1.5418 Å
Structure: a crystal structure in Alexandria, relaxed with PBE
No peak broadening, texture or thermal motion is included.

Largest 8 diffraction maxima, low angle first, 10° ≤ 2θ ≤ 90°:
two_theta, I (rel.), (hkl)
11.6, 47, 0 0 1
19.8, 34, 1 1 0
23.9, 100, 1 1 1
24.5, 61, 2 0 -2
29.1, 33, 3 1 -1
29.5, 41, 4 0 0
37.3, 37, 0 2 0
39.2, 55, 1 1 -3

```
data_GeTeBr
_chemical_formula_sum 'Ge4 Te4 Br4'
_cell_length_a 12.487
_cell_length_b 4.825
_cell_length_c 7.832
_cell_angle_alpha 90.00
_cell_angle_beta 103.80
_cell_angle_gamma 90.00
_symmetry_space_group_name_H-M 'C 1 2/m 1'
_symmetry_Int_Tables_number 12
loop_
_symmetry_equiv_pos_as_xyz
'x,y,z'
'-x,-y,-z'
'-x,y,-z'
'x,-y,z'
'x+1/2,y+1/2,z'
'-x+1/2,-y+1/2,-z'
'-x+1/2,y+1/2,-z'
'x+1/2,-y+1/2,z'
loop_
_atom_site_label
_atom_site_type_symbol
_atom_site_fract_x
_atom_site_fract_y
_atom_site_fract_z
_atom_site_occupancy
Ge1 Ge 0.075 0.000 0.209 1
Te1 Te 0.146 0.000 0.912 1
Br1 Br 0.126 0.500 0.346 1
```

Entry 3:
Computed XRD peak list
Compound: ThGeBr6
Radiation: a wavelength of 1.5418 Å
Structure: a crystal structure in Alexandria, relaxed with PBE
No peak broadening, texture or thermal motion is included.

Largest 8 diffraction maxima, low angle first, 10° ≤ 2θ ≤ 90°:
two_theta, I (rel.), (hkl)
13.9, 56, 1 1 -1
15.4, 100, 1 1 1
19.6, 40, 2 0 -2
22.7, 37, 3 1 -1
29.2, 39, 4 0 -2
31.5, 37, 1 3 -1
35.5, 44, 4 2 -2
37.4, 36, 3 1 3

```
data_ThGeBr6
_chemical_formula_sum 'Th4 Ge4 Br24'
_cell_length_a 13.410
_cell_length_b 8.978
_cell_length_c 10.620
_cell_angle_alpha 90.00
_cell_angle_beta 101.21
_cell_angle_gamma 90.00
_symmetry_space_group_name_H-M 'C 1 2/c 1'
_symmetry_Int_Tables_number 15
loop_
_symmetry_equiv_pos_as_xyz
'x,y,z'
'-x,-y,-z'
'-x,y,-z+1/2'
'x,-y,z+1/2'
'x+1/2,y+1/2,z'
'-x+1/2,-y+1/2,-z'
'-x+1/2,y+1/2,-z+1/2'
'x+1/2,-y+1/2,z+1/2'
loop_
_atom_site_label
_atom_site_type_symbol
_atom_site_fract_x
_atom_site_fract_y
_atom_site_fract_z
_atom_site_occupancy
Th1 Th 0.250 0.250 0.000 1
Ge1 Ge 0.000 0.073 0.250 1
Br1 Br 0.068 0.283 0.120 1
Br2 Br 0.137 0.326 0.765 1
Br3 Br 0.177 0.051 0.450 1
```

Entry 4:
Computed XRD peak list
Compound: TiTlGe2Br
Radiation: a wavelength of 1.5418 Å
Structure: a crystal structure in Alexandria, relaxed with PBE
No peak broadening, texture or thermal motion is included.

Largest 8 diffraction maxima, low angle first, 10° ≤ 2θ ≤ 90°:
two_theta, I (rel.), (hkl)
16.2, 50, 0 0 1
16.7, 55, 1 0 0
23.3, 100, 1 0 1
32.8, 45, 0 0 2
33.7, 84, 2 0 0
41.4, 46, 2 1 1
47.7, 63, 2 0 2
59.7, 32, 2 2 2

```
data_TiTlGe2Br
_chemical_formula_sum 'Ti1 Tl1 Ge2 Br1'
_cell_length_a 5.316
_cell_length_b 5.316
_cell_length_c 5.466
_cell_angle_alpha 90.00
_cell_angle_beta 90.00
_cell_angle_gamma 90.00
_symmetry_space_group_name_H-M 'P 4/m m m'
_symmetry_Int_Tables_number 123
_symmetry_space_group_name_Hall '-P 4 2'
loop_
_atom_site_label
_atom_site_type_symbol
_atom_site_fract_x
_atom_site_fract_y
_atom_site_fract_z
_atom_site_occupancy
Ti1 Ti 0.000 0.000 0.000 1
Tl1 Tl 0.000 0.000 0.500 1
Ge1 Ge 0.000 0.500 0.500 1
Br1 Br 0.500 0.500 0.000 1
```